This entry pairs a crystal structure of KBa3 with its calculated PXRD pattern. Radiation: λ = 1.5418 Å (Cu Kα). Structure: DFT lattice parameters and positions (GGA-PBE).

Main lines, most intense first (5 to 70 degrees two-theta):
- 25.62 deg, intensity 100, hkl 2 0 1
- 23.88 deg, intensity 27, hkl 0 0 2
- 46.86 deg, intensity 25, hkl 2 2 2
- 43.07 deg, intensity 24, hkl 2 0 3
- 22.61 deg, intensity 23, hkl 2 0 0
- 39.71 deg, intensity 20, hkl 2 2 0
- 47.85 deg, intensity 17, hkl 4 0 1
- 33.12 deg, intensity 17, hkl 2 0 2
- 63.87 deg, intensity 14, hkl 4 2 1
- 16.39 deg, intensity 10, hkl 1 0 1

Structural model:
a = 9.0801 Å, b = 9.0801 Å, c = 7.4522 Å
α = 90.00°, β = 90.00°, γ = 120.00°
Space group P6_3/mmc (No. 194)
Symmetry-distinct sites (fractional):
K 0.3333 0.6667 0.2500 (multiplicity 2)
Ba 0.1627 0.3254 0.7500 (multiplicity 6)